1.
Theoretical powder XRD pattern
Compound: Dy2TmIn3CuNi2
Radiation: Cu Kα (weighted mean of Kα1 and Kα2)
Structure: the GGA-PBE geometry in OQMD
Peak positions follow from Bragg's law for the DFT cell and can differ from measured ones.

Principal peaks in the range 2θ from 10° to 90°, low angle first:
2θ/deg	intensity
33.64	100
36.49	76
36.91	51
42.07	23
47.64	20
51.11	16
56.88	23
61.74	22
65.41	12
68.00	25

Structural model:
```
Dy2TmIn3CuNi2
1.0
3.8179 0.0000 0.0000
0.0000 6.4452 3.7198
0.0000 -6.4452 3.7198
Dy Tm In Cu Ni
2 1 3 1 2
Direct
0.0000 0.2062 0.7938
0.0000 0.7938 0.2062
0.0000 0.3814 0.3814
0.5000 0.0530 0.0530
0.5000 0.5355 0.7918
0.5000 0.7918 0.5355
0.0000 0.7923 0.7923
0.5000 0.1283 0.4594
0.5000 0.4594 0.1283
```



2.
Theoretical powder XRD pattern
Compound: Tb2DyIn3CuPt2
Radiation: Cu Kα (weighted mean of Kα1 and Kα2)
Structure: the GGA-PBE geometry in OQMD
Peak positions follow from Bragg's law for the DFT cell and can differ from measured ones.

Principal peaks in the range 2θ from 10° to 90°, low angle first:
2θ/deg	intensity
33.18	100
35.42	50
35.86	81
40.36	39
43.02	22
48.32	21
48.98	14
61.32	20
64.72	19
65.55	28

Structural model:
```
Tb2DyIn3CuPt2
1.0
3.7672 0.0000 0.0000
0.0000 6.7020 3.8727
0.0000 -6.7020 3.8727
Tb Dy In Cu Pt
2 1 3 1 2
Direct
0.0000 0.2053 0.7947
0.0000 0.7947 0.2053
0.0000 0.6158 0.6158
0.5000 0.2055 0.4598
0.5000 0.4598 0.2055
0.5000 0.9506 0.9506
0.0000 0.2055 0.2055
0.5000 0.5389 0.8711
0.5000 0.8711 0.5389
```



3.
Theoretical powder XRD pattern
Compound: Dy2TmIn3Cu2Pt
Radiation: Cu Kα (weighted mean of Kα1 and Kα2)
Structure: the GGA-PBE geometry in OQMD
Peak positions follow from Bragg's law for the DFT cell and can differ from measured ones.

Principal peaks in the range 2θ from 10° to 90°, low angle first:
2θ/deg	intensity
27.45	19
32.92	100
35.78	97
36.59	39
41.70	42
43.38	27
45.93	26
60.10	18
63.76	23
67.11	35

Structural model:
```
Dy2TmIn3Cu2Pt
1.0
3.9515 0.0000 0.0000
0.0000 6.4977 3.7514
0.0000 -6.4977 3.7514
Dy Tm In Cu Pt
2 1 3 2 1
Direct
0.0000 0.2021 0.7979
0.0000 0.7979 0.2021
0.0000 0.3945 0.3945
0.5000 0.0625 0.0625
0.5000 0.5325 0.7968
0.5000 0.7968 0.5325
0.5000 0.1328 0.4632
0.5000 0.4632 0.1328
0.0000 0.7955 0.7955
```



4.
Theoretical powder XRD pattern
Compound: DyY2In3Cu3
Radiation: Cu Kα (weighted mean of Kα1 and Kα2)
Structure: the GGA-PBE geometry in OQMD
Peak positions follow from Bragg's law for the DFT cell and can differ from measured ones.

Principal peaks in the range 2θ from 10° to 90°, low angle first:
2θ/deg	intensity
33.21	100
36.02	76
36.43	56
41.52	29
43.53	22
47.01	22
56.12	15
60.90	24
64.50	15
67.05	28

Structural model:
```
DyY2In3Cu3
1.0
3.8659 0.0000 0.0000
0.0000 6.5246 3.7668
0.0000 -6.5246 3.7668
Dy Y In Cu
1 2 3 3
Direct
0.0000 0.0000 0.0000
0.0000 0.1810 0.5905
0.0000 0.5905 0.1810
0.5000 0.3339 0.3339
0.5000 0.5903 0.8469
0.5000 0.8469 0.5903
0.0000 0.5908 0.5908
0.5000 0.2559 0.9239
0.5000 0.9239 0.2559
```